For NaIn, a DFT-relaxed cell (PBE, the Materials Project) gives the theoretical powder diffractogram in this record (λ = 1.5418 Å (Cu Kα)).
No peak broadening, texture or thermal motion is included.

Atomic structure:
Cell: 7.4578 7.4578 7.4578 Å, 90.00 90.00 90.00°
Space group Fd-3m (No. 227, origin choice 2)
Asymmetric unit:
Na: 0.1250 0.1250 0.1250 [8 per cell]
In: 0.1250 0.1250 0.6250 [8 per cell]

Peak list (8 most intense, 10 to 90 degrees two-theta, sorted by position)
Position (°2θ)  d_spacing  Rel. int.
20.6  4.306  50
34.0  2.637  100
40.1  2.249  27
48.8  1.864  17
53.6  1.711  11
60.9  1.522  35
71.6  1.318  10
81.7  1.179  14